Theoretical X-ray diffraction stick pattern of Na5V2PC4O16 for Cu Kα (weighted mean of Kα1 and Kα2), from the GGA+U geometry in Alexandria.
Neutral-atom scattering factors, no anomalous dispersion.

Main lines, sorted by position (2θ from 10° to 90°):
Position (°2θ), I_rel
10.87, 72
17.69, 50
20.56, 56
21.05, 89
32.35, 53
33.00, 33
33.32, 100
35.82, 47
46.44, 28
55.85, 22
56.51, 25
56.64, 21

Atomic structure:
abc: 10.0325 10.0317 9.8676
angles: 60.54 60.54 58.92
Sites, in units of the cell vectors:
Na (0.0000, 0.0000, 0.0000)
Na (0.2500, 0.2500, 0.2500)
Na (0.2638, 0.8371, 0.6406)
Na (0.2663, 0.8352, 0.2592)
Na (0.6094, 0.9915, 0.9862)
Na (0.6106, 0.9908, 0.4148)
Na (0.8352, 0.2663, 0.6394)
Na (0.8371, 0.2638, 0.2585)
Na (0.9915, 0.6094, 0.4129)
Na (0.9908, 0.6106, 0.9837)
V (0.4167, 0.4182, 0.3363)
V (0.4182, 0.4167, 0.8288)
V (0.4212, 0.9137, 0.8318)
V (0.9137, 0.4212, 0.8333)
P (0.0526, 0.0526, 0.4474)
P (0.8026, 0.8026, 0.1974)
C (0.1927, 0.5569, 0.6228)
C (0.2051, 0.2092, 0.6146)
C (0.2092, 0.2051, 0.9711)
C (0.2789, 0.6354, 0.0408)
C (0.5569, 0.1927, 0.6276)
C (0.6224, 0.6272, 0.6931)
C (0.6272, 0.6224, 0.0573)
C (0.6354, 0.2789, 0.0449)
O (0.0527, 0.5571, 0.6505)
O (0.0617, 0.2402, 0.7265)
O (0.0661, 0.3188, 0.9731)
O (0.2236, 0.5587, 0.7345)
O (0.2304, 0.3219, 0.4726)
O (0.2402, 0.0617, 0.9716)
O (0.2457, 0.9880, 0.3834)
O (0.2750, 0.7774, 0.9281)
O (0.2769, 0.6079, 0.1839)
O (0.2784, 0.5235, 0.0098)
O (0.3011, 0.5609, 0.4774)
O (0.3188, 0.0661, 0.6421)
O (0.3219, 0.2304, 0.9750)
O (0.5104, 0.5995, 0.6929)
O (0.5155, 0.7668, 0.0264)
O (0.5235, 0.2784, 0.1883)
O (0.5571, 0.0527, 0.7396)
O (0.5587, 0.2236, 0.4832)
O (0.5609, 0.3011, 0.6605)
O (0.5895, 0.7726, 0.6891)
O (0.5995, 0.5104, 0.1973)
O (0.6079, 0.2769, 0.9312)
O (0.6121, 0.8762, 0.2564)
O (0.7668, 0.5155, 0.6913)
O (0.7726, 0.5895, 0.9489)
O (0.7774, 0.2750, 0.0196)
O (0.8666, 0.8672, 0.0043)
O (0.8672, 0.8666, 0.2620)
O (0.8762, 0.6121, 0.2553)
O (0.9880, 0.2457, 0.3828)
O (0.9936, 0.9947, 0.6379)
O (0.9947, 0.9936, 0.3738)